Entry 1:
Diffraction record for Hf8Ni4N. The X-ray powder pattern is theoretical, not measured: it uses DFT lattice parameters and positions (GGA-PBE) and copper Kα.
Neutral-atom scattering factors, no anomalous dispersion.

Cell and atoms:
```
data_Hf8Ni4N
_space_group_name_H-M_alt 'I m m a'
_space_group_IT_number 74
_space_group_name_Hall '-I 2b 2'
_cell_length_a 8.5290
_cell_length_b 8.5598
_cell_length_c 12.0701
_cell_angle_alpha 90.00
_cell_angle_beta 90.00
_cell_angle_gamma 90.00
loop_
_atom_site_label
_atom_site_type_symbol
_atom_site_fract_x
_atom_site_fract_y
_atom_site_fract_z
_atom_site_occupancy
Hf1 Hf 0.0000 0.0000 0.0000 1
Hf2 Hf 0.0000 0.2500 0.1906 1
Hf3 Hf 0.0000 0.2500 0.5619 1
Hf4 Hf 0.1886 0.0652 0.3733 1
Hf5 Hf 0.2500 0.2500 0.7500 1
Ni1 Ni 0.0000 0.0656 0.7795 1
Ni2 Ni 0.1940 0.2500 0.9694 1
N1 N 0.2500 0.2500 0.2500 1
```

Principal peaks in the range 10 to 90 degrees two-theta, low angle first:
2theta, intensity
32.30, 39
32.35, 8
36.44, 48
38.73, 100
42.35, 34
65.47, 10
65.62, 30
67.00, 6
67.20, 6
78.92, 8


Entry 2:
Diffraction record for Hf2N2O. The X-ray powder pattern is theoretical, not measured: it uses DFT lattice parameters and positions (GGA-PBE) and copper Kα.
Neutral-atom scattering factors, no anomalous dispersion.

Cell and atoms:
```
data_Hf2N2O
_space_group_name_H-M_alt 'P 1'
_space_group_IT_number 1
_space_group_name_Hall 'P 1'
_cell_length_a 8.7138
_cell_length_b 8.7240
_cell_length_c 8.7464
_cell_angle_alpha 109.48
_cell_angle_beta 109.44
_cell_angle_gamma 109.31
loop_
_atom_site_label
_atom_site_type_symbol
_atom_site_fract_x
_atom_site_fract_y
_atom_site_fract_z
_atom_site_occupancy
Hf1 Hf 0.0000 0.0000 0.0000 1
Hf2 Hf 0.0000 0.4887 0.4973 1
Hf3 Hf 0.0425 0.7484 0.2734 1
Hf4 Hf 0.2097 0.4542 0.2372 1
Hf5 Hf 0.2377 0.7645 0.0172 1
Hf6 Hf 0.2463 0.2774 0.5200 1
Hf7 Hf 0.2754 0.0190 0.7233 1
Hf8 Hf 0.4661 0.2469 0.2103 1
Hf9 Hf 0.4862 0.4878 0.9690 1
Hf10 Hf 0.4918 0.9797 0.4897 1
Hf11 Hf 0.5263 0.7380 0.7750 1
Hf12 Hf 0.7123 0.9548 0.2412 1
Hf13 Hf 0.7490 0.1954 0.9518 1
Hf14 Hf 0.7545 0.7076 0.4557 1
Hf15 Hf 0.7831 0.5268 0.7383 1
Hf16 Hf 0.9649 0.2360 0.6985 1
N1 N 0.0034 0.2285 0.9532 1
N2 N 0.0285 0.7647 0.5324 1
N3 N 0.0414 0.5223 0.7602 1
N4 N 0.2266 0.2517 0.7636 1
N5 N 0.2416 0.2179 0.2577 1
N6 N 0.2590 0.0234 0.4721 1
N7 N 0.2687 0.5388 0.5187 1
N8 N 0.2714 0.7158 0.2483 1
N9 N 0.4524 0.7173 0.9788 1
N10 N 0.4900 0.9515 0.7174 1
N11 N 0.5352 0.4811 0.7521 1
N12 N 0.7195 0.4439 0.4530 1
N13 N 0.7320 0.9520 0.4960 1
N14 N 0.7713 0.0005 0.0334 1
N15 N 0.9604 0.2162 0.4378 1
N16 N 0.9825 0.7539 0.0216 1
O1 O 0.2312 0.9787 0.9436 1
O2 O 0.4636 0.5004 0.2225 1
O3 O 0.5086 0.0376 0.2572 1
O4 O 0.5474 0.2673 0.0070 1
O5 O 0.7219 0.2632 0.7231 1
O6 O 0.7619 0.7641 0.7139 1
O7 O 0.7660 0.7234 0.2143 1
O8 O 0.9466 0.4544 0.2112 1
```

Principal peaks in the range 10 to 90 degrees two-theta, low angle first:
2theta, intensity
21.58, 21
30.65, 100
30.76, 98
35.61, 74
51.14, 23
51.25, 33
51.39, 11
60.84, 24
60.96, 18
61.05, 14


Entry 3:
Diffraction record for Hf2N2O. The X-ray powder pattern is theoretical, not measured: it uses DFT lattice parameters and positions (GGA-PBE) and copper Kα.
Neutral-atom scattering factors, no anomalous dispersion.

Cell and atoms:
```
data_Hf2N2O
_space_group_name_H-M_alt 'P 1'
_space_group_IT_number 1
_space_group_name_Hall 'P 1'
_cell_length_a 8.7055
_cell_length_b 8.7250
_cell_length_c 8.7287
_cell_angle_alpha 109.38
_cell_angle_beta 109.35
_cell_angle_gamma 109.39
loop_
_atom_site_label
_atom_site_type_symbol
_atom_site_fract_x
_atom_site_fract_y
_atom_site_fract_z
_atom_site_occupancy
Hf1 Hf 0.0000 0.0000 0.0000 1
Hf2 Hf 0.0038 0.5006 0.4937 1
Hf3 Hf 0.0406 0.7181 0.2421 1
Hf4 Hf 0.2173 0.1813 0.4514 1
Hf5 Hf 0.2495 0.4734 0.2195 1
Hf6 Hf 0.2619 0.9656 0.7073 1
Hf7 Hf 0.2950 0.7615 0.9683 1
Hf8 Hf 0.4759 0.2219 0.1843 1
Hf9 Hf 0.5006 0.9324 0.4241 1
Hf10 Hf 0.5065 0.4312 0.9236 1
Hf11 Hf 0.5346 0.7130 0.7377 1
Hf12 Hf 0.7161 0.6846 0.4690 1
Hf13 Hf 0.7435 0.4664 0.7080 1
Hf14 Hf 0.7639 0.9778 0.2283 1
Hf15 Hf 0.7809 0.2613 0.9600 1
Hf16 Hf 0.9562 0.2107 0.6690 1
N1 N 0.0129 0.4562 0.2455 1
N2 N 0.2366 0.6893 0.1573 1
N3 N 0.2654 0.2392 0.2510 1
N4 N 0.2860 0.7320 0.7039 1
N5 N 0.2959 0.9798 0.4858 1
N6 N 0.4757 0.4354 0.6685 1
N7 N 0.4764 0.7007 0.4800 1
N8 N 0.5202 0.1934 0.9469 1
N9 N 0.5230 0.0103 0.2161 1
N10 N 0.7100 0.1978 0.6782 1
N11 N 0.7208 0.4265 0.4371 1
N12 N 0.7678 0.9324 0.4500 1
N13 N 0.7825 0.5147 0.9836 1
N14 N 0.8011 0.7445 0.7470 1
N15 N 0.9749 0.9203 0.1940 1
N16 N 0.9919 0.2416 0.4444 1
O1 O 0.0234 0.2268 0.9366 1
O2 O 0.0260 0.5032 0.7589 1
O3 O 0.2005 0.9518 0.9347 1
O4 O 0.2134 0.2039 0.7300 1
O5 O 0.4897 0.4841 0.1720 1
O6 O 0.5148 0.6959 0.9866 1
O7 O 0.7416 0.0035 0.9720 1
O8 O 0.9815 0.7448 0.4757 1
```

Principal peaks in the range 10 to 90 degrees two-theta, low angle first:
2theta, intensity
21.56, 9
30.61, 34
30.76, 100
35.62, 50
51.12, 15
51.29, 15
51.39, 15
60.91, 13
61.03, 10
61.09, 9


Entry 4:
Diffraction record for Hf2N2O. The X-ray powder pattern is theoretical, not measured: it uses DFT lattice parameters and positions (GGA-PBE) and copper Kα.
Neutral-atom scattering factors, no anomalous dispersion.

Cell and atoms:
```
data_Hf2N2O
_space_group_name_H-M_alt 'P 1'
_space_group_IT_number 1
_space_group_name_Hall 'P 1'
_cell_length_a 8.7112
_cell_length_b 8.7197
_cell_length_c 8.7352
_cell_angle_alpha 109.44
_cell_angle_beta 109.39
_cell_angle_gamma 109.44
loop_
_atom_site_label
_atom_site_type_symbol
_atom_site_fract_x
_atom_site_fract_y
_atom_site_fract_z
_atom_site_occupancy
Hf1 Hf 0.0000 0.0000 0.0000 1
Hf2 Hf 0.0038 0.4999 0.4913 1
Hf3 Hf 0.0429 0.7846 0.3209 1
Hf4 Hf 0.2199 0.7485 0.0431 1
Hf5 Hf 0.2472 0.0380 0.7794 1
Hf6 Hf 0.2565 0.5316 0.2741 1
Hf7 Hf 0.2836 0.3148 0.5338 1
Hf8 Hf 0.4682 0.2922 0.2484 1
Hf9 Hf 0.5014 0.0701 0.5700 1
Hf10 Hf 0.5094 0.5641 0.0708 1
Hf11 Hf 0.5489 0.7829 0.8199 1
Hf12 Hf 0.7268 0.2556 0.0315 1
Hf13 Hf 0.7569 0.5431 0.7953 1
Hf14 Hf 0.7678 0.0335 0.2855 1
Hf15 Hf 0.7956 0.8170 0.5347 1
Hf16 Hf 0.9747 0.2856 0.7533 1
N1 N 0.0199 0.7614 0.5629 1
N2 N 0.0263 0.2645 0.5216 1
N3 N 0.0295 0.0815 0.7965 1
N4 N 0.2138 0.2607 0.2539 1
N5 N 0.2227 0.4933 0.0106 1
N6 N 0.2516 0.0729 0.5514 1
N7 N 0.3089 0.8103 0.3207 1
N8 N 0.4967 0.3026 0.0135 1
N9 N 0.5148 0.5244 0.8159 1
N10 N 0.5299 0.5671 0.3317 1
N11 N 0.7403 0.7597 0.7366 1
N12 N 0.7640 0.3024 0.8239 1
N13 N 0.7907 0.7999 0.2726 1
N14 N 0.7952 0.0452 0.0565 1
N15 N 0.9833 0.4978 0.2419 1
N16 N 0.9843 0.7709 0.0540 1
O1 O 0.2698 0.9964 0.0205 1
O2 O 0.2896 0.5874 0.5611 1
O3 O 0.4781 0.9797 0.7646 1
O4 O 0.4827 0.8151 0.0493 1
O5 O 0.5343 0.2935 0.5088 1
O6 O 0.7090 0.0237 0.5082 1
O7 O 0.7197 0.2746 0.3053 1
O8 O 0.9931 0.5467 0.7488 1
```

Principal peaks in the range 10 to 90 degrees two-theta, low angle first:
2theta, intensity
21.60, 15
30.72, 100
30.79, 33
35.64, 50
45.96, 8
51.15, 7
51.30, 30
51.37, 7
60.89, 12
61.04, 26


Entry 5:
Diffraction record for Hf2N2O. The X-ray powder pattern is theoretical, not measured: it uses DFT lattice parameters and positions (GGA-PBE) and copper Kα.
Neutral-atom scattering factors, no anomalous dispersion.

Cell and atoms:
```
data_Hf2N2O
_space_group_name_H-M_alt 'P 1'
_space_group_IT_number 1
_space_group_name_Hall 'P 1'
_cell_length_a 8.7126
_cell_length_b 8.7278
_cell_length_c 8.7446
_cell_angle_alpha 109.40
_cell_angle_beta 109.50
_cell_angle_gamma 109.40
loop_
_atom_site_label
_atom_site_type_symbol
_atom_site_fract_x
_atom_site_fract_y
_atom_site_fract_z
_atom_site_occupancy
Hf1 Hf 0.0000 0.0000 0.0000 1
Hf2 Hf 0.0019 0.4988 0.5024 1
Hf3 Hf 0.0281 0.3192 0.7836 1
Hf4 Hf 0.2026 0.0251 0.7487 1
Hf5 Hf 0.2278 0.7713 0.0218 1
Hf6 Hf 0.2408 0.2826 0.5366 1
Hf7 Hf 0.2798 0.5385 0.3200 1
Hf8 Hf 0.4600 0.2551 0.2873 1
Hf9 Hf 0.4812 0.0705 0.5704 1
Hf10 Hf 0.4956 0.5751 0.0778 1
Hf11 Hf 0.5182 0.8179 0.7888 1
Hf12 Hf 0.7078 0.0255 0.2499 1
Hf13 Hf 0.7403 0.2932 0.0355 1
Hf14 Hf 0.7538 0.7853 0.5302 1
Hf15 Hf 0.7749 0.5364 0.8203 1
Hf16 Hf 0.9574 0.7447 0.2823 1
N1 N 0.0104 0.5148 0.2585 1
N2 N 0.0106 0.7965 0.0774 1
N3 N 0.2088 0.0122 0.4898 1
N4 N 0.2297 0.5427 0.0668 1
N5 N 0.2592 0.0297 0.0095 1
N6 N 0.2815 0.5574 0.5797 1
N7 N 0.4717 0.7775 0.9923 1
N8 N 0.4741 0.0440 0.8072 1
N9 N 0.5151 0.3285 0.5675 1
N10 N 0.5162 0.5106 0.3030 1
N11 N 0.6876 0.5020 0.0172 1
N12 N 0.7517 0.8272 0.3083 1
N13 N 0.9654 0.0570 0.7732 1
N14 N 0.9701 0.2379 0.4987 1
N15 N 0.9813 0.7483 0.5500 1
N16 N 0.9984 0.5546 0.7611 1
O1 O 0.1919 0.2478 0.2616 1
O2 O 0.2857 0.3192 0.8044 1
O3 O 0.4933 0.0146 0.3173 1
O4 O 0.5010 0.8196 0.5172 1
O5 O 0.7017 0.2857 0.2651 1
O6 O 0.7274 0.7441 0.7661 1
O7 O 0.7792 0.2768 0.8019 1
O8 O 0.7958 0.0603 0.0541 1
```

Principal peaks in the range 10 to 90 degrees two-theta, low angle first:
2theta, intensity
21.58, 14
30.69, 100
30.79, 32
35.62, 49
45.91, 6
51.15, 15
51.30, 30
60.80, 6
60.93, 20
61.03, 9


Entry 6:
Diffraction record for Hf2N2O. The X-ray powder pattern is theoretical, not measured: it uses DFT lattice parameters and positions (GGA-PBE) and copper Kα.
Neutral-atom scattering factors, no anomalous dispersion.

Cell and atoms:
```
data_Hf2N2O
_space_group_name_H-M_alt 'P 1'
_space_group_IT_number 1
_space_group_name_Hall 'P 1'
_cell_length_a 8.7050
_cell_length_b 8.7206
_cell_length_c 8.7506
_cell_angle_alpha 109.61
_cell_angle_beta 109.34
_cell_angle_gamma 109.26
loop_
_atom_site_label
_atom_site_type_symbol
_atom_site_fract_x
_atom_site_fract_y
_atom_site_fract_z
_atom_site_occupancy
Hf1 Hf 0.0000 0.0000 0.0000 1
Hf2 Hf 0.0012 0.4922 0.5002 1
Hf3 Hf 0.0430 0.7163 0.2500 1
Hf4 Hf 0.2203 0.1868 0.4640 1
Hf5 Hf 0.2491 0.9551 0.7140 1
Hf6 Hf 0.2506 0.4762 0.2266 1
Hf7 Hf 0.2837 0.7524 0.9638 1
Hf8 Hf 0.4567 0.2102 0.1807 1
Hf9 Hf 0.4928 0.9320 0.4306 1
Hf10 Hf 0.4971 0.4381 0.9210 1
Hf11 Hf 0.5364 0.7174 0.7514 1
Hf12 Hf 0.7116 0.6785 0.4731 1
Hf13 Hf 0.7394 0.9695 0.2089 1
Hf14 Hf 0.7489 0.4626 0.7019 1
Hf15 Hf 0.7844 0.2469 0.9643 1
Hf16 Hf 0.9614 0.2224 0.6782 1
N1 N 0.0079 0.4562 0.2464 1
N2 N 0.0221 0.4976 0.7616 1
N3 N 0.2053 0.9585 0.9391 1
N4 N 0.2329 0.6910 0.1665 1
N5 N 0.2573 0.2370 0.2583 1
N6 N 0.2826 0.7280 0.6992 1
N7 N 0.2874 0.9767 0.4865 1
N8 N 0.4760 0.4293 0.6719 1
N9 N 0.4772 0.7022 0.4830 1
N10 N 0.5143 0.6942 0.9928 1
N11 N 0.5247 0.0150 0.2305 1
N12 N 0.7069 0.1919 0.6850 1
N13 N 0.7161 0.4243 0.4406 1
N14 N 0.7405 0.0065 0.9815 1
N15 N 0.7972 0.7397 0.7491 1
N16 N 0.9896 0.2325 0.4445 1
O1 O 0.0237 0.2262 0.9406 1
O2 O 0.2163 0.2099 0.7403 1
O3 O 0.4840 0.4710 0.1752 1
O4 O 0.5208 0.1966 0.9485 1
O5 O 0.7635 0.9268 0.4508 1
O6 O 0.7786 0.5148 0.9936 1
O7 O 0.9707 0.9101 0.1926 1
O8 O 0.9770 0.7480 0.4821 1
```

Principal peaks in the range 10 to 90 degrees two-theta, low angle first:
2theta, intensity
21.56, 16
30.64, 100
30.79, 100
35.61, 75
51.07, 11
51.22, 34
51.33, 11
51.45, 11
60.89, 24
61.02, 14


Entry 7:
Diffraction record for Hf2N2O. The X-ray powder pattern is theoretical, not measured: it uses DFT lattice parameters and positions (GGA-PBE) and copper Kα.
Neutral-atom scattering factors, no anomalous dispersion.

Cell and atoms:
```
data_Hf2N2O
_space_group_name_H-M_alt 'P 1'
_space_group_IT_number 1
_space_group_name_Hall 'P 1'
_cell_length_a 8.7116
_cell_length_b 8.7337
_cell_length_c 8.7344
_cell_angle_alpha 109.60
_cell_angle_beta 109.43
_cell_angle_gamma 109.26
loop_
_atom_site_label
_atom_site_type_symbol
_atom_site_fract_x
_atom_site_fract_y
_atom_site_fract_z
_atom_site_occupancy
Hf1 Hf 0.0000 0.0000 0.0000 1
Hf2 Hf 0.0032 0.5083 0.5017 1
Hf3 Hf 0.0490 0.2617 0.7325 1
Hf4 Hf 0.2181 0.4701 0.1868 1
Hf5 Hf 0.2422 0.2085 0.4704 1
Hf6 Hf 0.2620 0.7273 0.9688 1
Hf7 Hf 0.2838 0.9700 0.7625 1
Hf8 Hf 0.4712 0.1829 0.2239 1
Hf9 Hf 0.4972 0.4251 0.9371 1
Hf10 Hf 0.5025 0.9363 0.4316 1
Hf11 Hf 0.5335 0.7545 0.7138 1
Hf12 Hf 0.7134 0.4677 0.6862 1
Hf13 Hf 0.7540 0.7114 0.4817 1
Hf14 Hf 0.7629 0.2398 0.9815 1
Hf15 Hf 0.7941 0.9807 0.2624 1
Hf16 Hf 0.9649 0.6895 0.2252 1
N1 N 0.0093 0.2534 0.4620 1
N2 N 0.0231 0.7712 0.5064 1
N3 N 0.0244 0.9486 0.2318 1
N4 N 0.2068 0.9491 0.9638 1
N5 N 0.2440 0.1790 0.7005 1
N6 N 0.2888 0.7092 0.7358 1
N7 N 0.2984 0.4973 0.9859 1
N8 N 0.4771 0.6778 0.4388 1
N9 N 0.4886 0.1845 0.4874 1
N10 N 0.5248 0.9557 0.2005 1
N11 N 0.5267 0.2328 0.0188 1
N12 N 0.7194 0.4490 0.4288 1
N13 N 0.7633 0.4627 0.9392 1
N14 N 0.7929 0.7532 0.7467 1
N15 N 0.9756 0.2025 0.9222 1
N16 N 0.9942 0.4503 0.2448 1
O1 O 0.2178 0.7349 0.2139 1
O2 O 0.2667 0.2714 0.2492 1
O3 O 0.4785 0.4947 0.7079 1
O4 O 0.5188 0.9932 0.7031 1
O5 O 0.7064 0.6896 0.2018 1
O6 O 0.7357 0.9819 0.0078 1
O7 O 0.7835 0.9927 0.5148 1
O8 O 0.9792 0.4848 0.7491 1
```

Principal peaks in the range 10 to 90 degrees two-theta, low angle first:
2theta, intensity
21.58, 14
30.70, 100
30.79, 34
35.60, 33
35.67, 17
45.85, 8
51.21, 29
51.36, 15
60.88, 15
60.98, 16


Entry 8:
Diffraction record for Hf2N2O. The X-ray powder pattern is theoretical, not measured: it uses DFT lattice parameters and positions (GGA-PBE) and copper Kα.
Neutral-atom scattering factors, no anomalous dispersion.

Cell and atoms:
```
data_Hf2N2O
_space_group_name_H-M_alt 'P n m a'
_space_group_IT_number 62
_space_group_name_Hall '-P 2ac 2n'
_cell_length_a 5.8848
_cell_length_b 3.0920
_cell_length_c 12.2262
_cell_angle_alpha 90.00
_cell_angle_beta 90.00
_cell_angle_gamma 90.00
loop_
_atom_site_label
_atom_site_type_symbol
_atom_site_fract_x
_atom_site_fract_y
_atom_site_fract_z
_atom_site_occupancy
Hf1 Hf 0.1455 0.2500 0.2064 1
Hf2 Hf 0.2448 0.2500 0.9559 1
N1 N 0.1365 0.7500 0.0675 1
N2 N 0.1473 0.2500 0.7808 1
O1 O 0.0297 0.2500 0.3989 1
```

Principal peaks in the range 10 to 90 degrees two-theta, low angle first:
2theta, intensity
30.38, 37
31.27, 38
33.02, 94
33.55, 100
36.48, 57
42.41, 24
45.04, 27
48.18, 28
50.02, 29
70.05, 23